(1)
Starting from a PBE-relaxed structure, the powder X-ray diffraction pattern of ZrCo3Ge2 was computed for Cu Ka.
Kinematic intensities with the Lorentz-polarization factor, no thermal factor.

Largest 10 diffraction maxima, by angle, 10 to 90 degrees two-theta:
hkl, 2θ/deg, intensity
3 1 -2, 33.2, 34.7
6 0 0, 36.9, 24.3
5 1 -1, 37.9, 43.6
1 1 -3, 38.1, 100.0
3 1 2, 39.8, 28.9
5 1 1, 42.9, 26.6
2 0 4, 46.9, 38.7
8 0 -1, 47.7, 23.2
7 1 -1, 48.2, 32.1
0 2 0, 48.6, 62.4

abc: 15.328 3.744 9.169
angles: 90.00 107.69 90.00
Space group C2/m (No. 12)
Unique sites:
Zr: 0.000 0.000 0.000
Zr: 0.161 0.000 0.701
Co: 0.000 0.500 0.500
Co: 0.044 0.000 0.337
Co: 0.118 0.500 0.197
Co: 0.181 0.500 0.968
Co: 0.213 0.000 0.392
Ge: 0.040 0.500 0.782
Ge: 0.140 0.500 0.459
Ge: 0.196 0.000 0.131



(2)
Starting from a PBE-relaxed structure, the powder X-ray diffraction pattern of ZrCo12Ge6 was computed for Cu Ka.
Kinematic intensities with the Lorentz-polarization factor, no thermal factor.

Largest 10 diffraction maxima, by angle, 10 to 90 degrees two-theta:
hkl, 2θ/deg, intensity
2 2 0, 33.9, 23.5
1 3 1, 37.2, 100.0
1 1 3, 38.6, 68.8
3 1 2, 42.5, 36.1
3 2 1, 44.7, 38.0
0 3 3, 45.9, 35.5
0 4 2, 46.0, 44.9
2 3 2, 49.3, 32.2
0 2 4, 50.9, 52.4
5 0 2, 55.4, 64.2

abc: 10.5723 10.5723 7.7949
angles: 90.00 90.00 120.00
Space group R-3m (No. 166, hexagonal axes)
Unique sites:
Zr: 0.0000 0.0000 0.0000
Co: 0.0000 0.3810 0.5000
Co: 0.0799 0.1599 0.3277
Ge: 0.0305 0.5153 0.2554



(3)
Starting from a PBE-relaxed structure, the powder X-ray diffraction pattern of Zr6Co16Ge7 was computed for Cu Ka.
Kinematic intensities with the Lorentz-polarization factor, no thermal factor.

Largest 10 diffraction maxima, by angle, 10 to 90 degrees two-theta:
hkl, 2θ/deg, intensity
3 3 1, 33.7, 9.7
4 2 2, 38.0, 20.0
3 3 3, 40.4, 58.7
4 4 0, 44.2, 100.0
5 3 1, 46.3, 16.4
6 0 0, 47.0, 10.2
6 2 2, 52.3, 8.0
8 2 2, 68.6, 13.6
8 4 4, 81.2, 15.6
9 3 3, 82.8, 13.3

abc: 11.602 11.602 11.602
angles: 90.00 90.00 90.00
Space group Fm-3m (No. 225)
Unique sites:
Zr: 0.000 0.000 0.207
Co: 0.120 0.120 0.380
Co: 0.173 0.173 0.173
Ge: 0.000 0.000 0.500
Ge: 0.000 0.250 0.250



(4)
Starting from a PBE-relaxed structure, the powder X-ray diffraction pattern of Co4H was computed for Cu Ka.
Kinematic intensities with the Lorentz-polarization factor, no thermal factor.

Largest 9 diffraction maxima, by angle, 10 to 90 degrees two-theta:
hkl, 2θ/deg, intensity
0 4 0, 41.1, 24.7
0 0 2, 44.6, 26.1
2 2 1, 47.0, 100.0
0 4 2, 62.3, 13.5
2 6 0, 74.9, 9.8
4 0 0, 75.0, 5.0
2 2 3, 84.0, 16.1
0 8 0, 89.1, 0.7
4 4 0, 89.3, 1.6

abc: 5.066 8.788 4.063
angles: 90.00 90.00 90.00
Space group Cmce (No. 64)
Unique sites:
Co: 0.000 0.170 0.248
Co: 0.250 0.087 0.750
H: 0.000 0.000 0.500



(5)
Starting from a PBE-relaxed structure, the powder X-ray diffraction pattern of Co2H was computed for Cu Ka.
Kinematic intensities with the Lorentz-polarization factor, no thermal factor.

Largest 6 diffraction maxima, by angle, 10 to 90 degrees two-theta:
hkl, 2θ/deg, intensity
0 0 3, 21.3, 0.6
0 1 2, 43.4, 100.0
1 0 4, 50.6, 48.0
0 1 5, 55.5, 0.6
0 0 9, 67.4, 0.8
1 1 0, 74.3, 27.0

abc: 2.5530 2.5530 12.5127
angles: 90.00 90.00 120.00
Space group R-3m (No. 166, hexagonal axes)
Unique sites:
Co: 0.0000 0.0000 0.2461
H: 0.0000 0.0000 0.0000



(6)
Starting from a PBE-relaxed structure, the powder X-ray diffraction pattern of Co4H was computed for Cu Ka.
Kinematic intensities with the Lorentz-polarization factor, no thermal factor.

Largest 8 diffraction maxima, by angle, 10 to 90 degrees two-theta:
hkl, 2θ/deg, intensity
1 0 0, 41.2, 24.8
0 0 4, 44.4, 25.8
1 0 2, 47.1, 100.0
0 1 3, 53.7, 0.6
0 1 4, 62.2, 13.6
1 1 0, 75.1, 14.9
1 0 6, 83.7, 15.4
2 0 0, 89.4, 2.3

abc: 2.5308 2.5308 8.1630
angles: 90.00 90.00 120.00
Space group P-3m1 (No. 164)
Unique sites:
Co: 0.3333 0.6667 0.3660
Co: 0.3333 0.6667 0.8775
H: 0.0000 0.0000 0.5000



(7)
Starting from a PBE-relaxed structure, the powder X-ray diffraction pattern of Co3H4 was computed for Cu Ka.
Kinematic intensities with the Lorentz-polarization factor, no thermal factor.

Largest 9 diffraction maxima, by angle, 10 to 90 degrees two-theta:
hkl, 2θ/deg, intensity
1 0 0, 24.9, 42.2
1 1 0, 35.5, 32.7
1 1 1, 43.9, 100.0
2 0 0, 51.1, 50.8
2 1 0, 57.7, 14.6
2 1 1, 63.8, 10.5
2 2 0, 75.2, 28.5
3 0 0, 80.6, 6.3
3 1 0, 86.0, 4.3

abc: 3.575 3.575 3.575
angles: 90.00 90.00 90.00
Space group Pm-3m (No. 221)
Unique sites:
Co: 0.000 0.000 0.500
H: 0.000 0.000 0.000
H: 0.000 0.500 0.500



(8)
Starting from a PBE-relaxed structure, the powder X-ray diffraction pattern of Co2H was computed for Cu Ka.
Kinematic intensities with the Lorentz-polarization factor, no thermal factor.

Largest 10 diffraction maxima, by angle, 10 to 90 degrees two-theta:
hkl, 2θ/deg, intensity
0 0 6, 40.5, 48.9
1 0 1, 41.7, 100.0
0 1 2, 43.4, 30.3
1 0 4, 49.7, 21.0
0 1 5, 54.0, 47.9
1 0 7, 64.7, 24.1
0 1 8, 70.9, 5.1
1 1 0, 74.9, 21.2
1 1 6, 88.8, 26.4
0 2 1, 89.6, 9.7

abc: 2.5352 2.5352 13.3672
angles: 90.00 90.00 120.00
Space group R-3m (No. 166, hexagonal axes)
Unique sites:
Co: 0.0000 0.0000 0.0844
H: 0.0000 0.0000 0.5000



(9)
Starting from a PBE-relaxed structure, the powder X-ray diffraction pattern of Co8H was computed for Cu Ka.
Kinematic intensities with the Lorentz-polarization factor, no thermal factor.

Largest 6 diffraction maxima, by angle, 10 to 90 degrees two-theta:
hkl, 2θ/deg, intensity
2 0 0, 41.4, 24.9
0 0 2, 44.7, 26.4
2 0 1, 47.4, 100.0
0 2 2, 62.6, 13.6
2 2 0, 75.5, 14.7
2 0 3, 84.3, 16.2

abc: 5.0345 5.0345 4.0524
angles: 90.00 90.00 120.00
Space group P-3m1 (No. 164)
Unique sites:
Co: 0.1700 0.3399 0.2458
Co: 0.3333 0.6667 0.7527
H: 0.0000 0.0000 0.5000



(10)
Starting from a PBE-relaxed structure, the powder X-ray diffraction pattern of Hf4CoH was computed for Cu Ka.
Kinematic intensities with the Lorentz-polarization factor, no thermal factor.

Largest 10 diffraction maxima, by angle, 10 to 90 degrees two-theta:
hkl, 2θ/deg, intensity
1 3 0, 26.2, 18.6
2 0 -2, 31.3, 37.8
2 2 -2, 34.4, 18.4
3 1 -1, 35.8, 92.1
0 4 1, 35.9, 100.0
1 5 0, 38.8, 19.4
1 3 1, 41.2, 38.5
3 3 0, 52.6, 31.3
5 1 -3, 58.6, 17.6
2 6 1, 68.2, 18.0

abc: 8.090 12.701 5.722
angles: 90.00 134.95 90.00
Space group C2/c (No. 15)
Unique sites:
Hf: 0.146 0.202 0.133
Hf: 0.237 0.452 0.341
Co: 0.000 0.375 0.750
H: 0.000 0.125 0.250



(11)
Starting from a PBE-relaxed structure, the powder X-ray diffraction pattern of Hf2Co2H7 was computed for Cu Ka.
Kinematic intensities with the Lorentz-polarization factor, no thermal factor.

Largest 10 diffraction maxima, by angle, 10 to 90 degrees two-theta:
hkl, 2θ/deg, intensity
0 0 1, 21.5, 37.2
0 2 0, 27.6, 21.3
0 2 1, 35.3, 100.0
2 0 1, 36.7, 90.9
2 2 0, 40.8, 64.4
0 0 2, 43.8, 27.0
2 2 1, 46.5, 22.6
2 2 2, 61.3, 40.0
2 4 1, 69.8, 26.1
4 2 1, 72.4, 23.6

abc: 6.086 6.455 4.136
angles: 90.00 90.00 90.00
Space group Cmmm (No. 65)
Unique sites:
Hf: 0.244 0.000 0.000
Co: 0.000 0.264 0.500
H: 0.000 0.000 0.500
H: 0.000 0.500 0.292
H: 0.250 0.250 0.290



(12)
Starting from a PBE-relaxed structure, the powder X-ray diffraction pattern of Hf3CoH was computed for Cu Ka.
Kinematic intensities with the Lorentz-polarization factor, no thermal factor.

Largest 10 diffraction maxima, by angle, 10 to 90 degrees two-theta:
hkl, 2θ/deg, intensity
1 0 1, 30.8, 35.0
0 1 3, 32.3, 53.5
0 2 0, 34.1, 69.1
0 1 -3, 34.6, 70.0
1 1 -2, 35.3, 100.0
1 -1 0, 38.0, 29.0
1 2 1, 38.8, 34.8
-1 1 2, 41.9, 57.2
1 3 -2, 57.1, 23.7
2 1 0, 57.3, 22.3

abc: 3.215 5.504 9.360
angles: 85.95 89.99 73.08
Space group P-1 (No. 2)
Unique sites:
Hf: 0.106 0.285 0.401
Hf: 0.359 0.783 0.903
Hf: 0.371 0.758 0.292
Co: 0.063 0.374 0.891
H: 0.291 0.921 0.689